[1]
This entry pairs a crystal structure of MgNiO2 with its computed powder diffractogram. Radiation: Cu Kα. Structure: a DFT-relaxed cell (PBE+U, the Materials Project).
Neutral-atom scattering factors, no anomalous dispersion.

Cell and atoms:
```
MgNiO2
1.0
2.9339 0.0000 0.0000
1.4371 8.0160 0.0000
1.4615 0.1865 8.0141
Mg Ni O
4 4 8
direct
0.0730 0.0934 0.2537 Mg
0.3048 0.2709 0.6094 Mg
0.6952 0.7291 0.3906 Mg
0.9270 0.9066 0.7463 Mg
0.0885 0.5874 0.7360 Ni
0.3190 0.7751 0.0858 Ni
0.6810 0.2249 0.9142 Ni
0.9115 0.4126 0.2640 Ni
0.0750 0.2671 0.0676 O
0.3005 0.5978 0.2861 O
0.3298 0.0819 0.7700 O
0.4418 0.2455 0.3703 O
0.5582 0.7545 0.6297 O
0.6702 0.9181 0.2300 O
0.6995 0.4022 0.7139 O
0.9250 0.7329 0.9324 O
```

Largest 12 diffraction maxima, in order of rising 2θ, 10 to 80 degrees two-theta:
d [Å], intensity
8.014, 78.0
4.007, 100.0
3.618, 40.7
3.551, 45.3
2.801, 59.7
2.551, 62.0
2.536, 68.8
2.534, 56.5
2.517, 49.1
1.809, 58.9
1.804, 35.6
1.794, 36.4



[2]
This entry pairs a crystal structure of SrV3O7 with its computed powder diffractogram. Radiation: Cu Kα. Structure: a DFT-relaxed cell (PBE+U, the Materials Project).
Neutral-atom scattering factors, no anomalous dispersion.

Cell and atoms:
```
SrV3O7
1.0
11.3888 0.0000 0.0000
0.0000 10.5812 0.0000
0.0000 0.0000 5.3759
Sr V O
4 12 28
direct
0.0729 0.2500 0.2438 Sr
0.4271 0.7500 0.7438 Sr
0.5729 0.2500 0.2562 Sr
0.9271 0.7500 0.7562 Sr
0.1915 0.5203 0.7451 V
0.1915 0.9797 0.7451 V
0.2117 0.7500 0.2451 V
0.2883 0.2500 0.7451 V
0.3085 0.0203 0.2451 V
0.3085 0.4797 0.2451 V
0.6915 0.5203 0.7549 V
0.6915 0.9797 0.7549 V
0.7117 0.7500 0.2549 V
0.7883 0.2500 0.7549 V
0.8085 0.0203 0.2549 V
0.8085 0.4797 0.2549 V
0.0508 0.5607 0.7458 O
0.0508 0.9393 0.7458 O
0.0660 0.7500 0.2444 O
0.2258 0.1193 0.5085 O
0.2257 0.1193 0.9817 O
0.2258 0.3807 0.5085 O
0.2257 0.3807 0.9817 O
0.2742 0.6193 0.0085 O
0.2743 0.6193 0.4817 O
0.2742 0.8807 0.0085 O
0.2743 0.8807 0.4817 O
0.4340 0.2500 0.7444 O
0.4492 0.0607 0.2458 O
0.4492 0.4393 0.2458 O
0.5508 0.5607 0.7542 O
0.5508 0.9393 0.7542 O
0.5660 0.7500 0.2556 O
0.7257 0.1193 0.5183 O
0.7258 0.1193 0.9915 O
0.7257 0.3807 0.5183 O
0.7258 0.3807 0.9915 O
0.7743 0.6193 0.0183 O
0.7742 0.6193 0.4915 O
0.7743 0.8807 0.0183 O
0.7742 0.8807 0.4915 O
0.9340 0.2500 0.7556 O
0.9492 0.0607 0.2542 O
0.9492 0.4393 0.2542 O
```

Largest 12 diffraction maxima, in order of rising 2θ, 10 to 80 degrees two-theta:
d [Å], intensity
5.694, 29.9
3.876, 14.8
3.667, 35.7
3.144, 100.0
2.688, 23.1
2.645, 14.1
2.619, 12.8
2.516, 13.4
1.922, 12.4
1.885, 28.1
1.695, 15.4
1.627, 12.1



[3]
This entry pairs a crystal structure of V2Co3O8 with its computed powder diffractogram. Radiation: Cu Kα. Structure: a DFT-relaxed cell (PBE+U, the Materials Project).
Neutral-atom scattering factors, no anomalous dispersion.

Cell and atoms:
```
V2Co3O8
1.0
3.0315 -5.8278 0.0000
3.0315 5.8278 0.0000
0.0000 0.0000 8.4350
V Co O
4 6 16
direct
0.1240 0.8760 0.8820 V
0.3760 0.6240 0.3820 V
0.6240 0.3760 0.6180 V
0.8760 0.1240 0.1180 V
0.0000 0.0000 0.5000 Co
0.1218 0.3782 0.7500 Co
0.3782 0.1218 0.2500 Co
0.5000 0.5000 0.0000 Co
0.6218 0.8782 0.7500 Co
0.8782 0.6218 0.2500 Co
0.0026 0.9974 0.7452 O
0.1140 0.3487 0.9972 O
0.1513 0.3860 0.5028 O
0.2470 0.7530 0.2746 O
0.2530 0.7470 0.7746 O
0.3487 0.1140 0.0028 O
0.3860 0.1513 0.4972 O
0.4974 0.5026 0.2452 O
0.5026 0.4974 0.7548 O
0.6140 0.8487 0.5028 O
0.6513 0.8860 0.9972 O
0.7470 0.2530 0.2254 O
0.7530 0.2470 0.7254 O
0.8487 0.6140 0.4972 O
0.8860 0.6513 0.0028 O
0.9974 0.0026 0.2548 O
```

Largest 12 diffraction maxima, in order of rising 2θ, 10 to 80 degrees two-theta:
d [Å], intensity
5.828, 23.3
4.795, 21.8
3.319, 36.4
3.050, 62.5
2.914, 25.2
2.562, 100.0
2.532, 52.0
2.492, 23.1
2.108, 38.5
2.101, 32.2
1.606, 21.4
1.488, 65.6



[4]
This entry pairs a crystal structure of NaLiMnP2O7 with its computed powder diffractogram. Radiation: Cu Kα. Structure: a DFT-relaxed cell (PBE+U, the Materials Project).
Neutral-atom scattering factors, no anomalous dispersion.

Cell and atoms:
```
NaLiMnP2O7
1.0
6.6353 0.0000 0.0000
0.7590 6.6554 0.0000
0.5409 2.7064 6.4831
Na Li Mn P O
2 2 2 4 14
direct
0.0000 0.0000 0.0000 Na
0.2956 0.3970 0.7372 Na
0.2491 0.7317 0.3358 Li
0.7851 0.3888 0.8863 Li
0.4940 0.6403 0.0587 Mn
0.8003 0.8611 0.6013 Mn
0.2924 0.9503 0.6046 P
0.5225 0.0830 0.1952 P
0.7419 0.3909 0.5068 P
0.9937 0.5077 0.1056 P
0.0566 0.3447 0.0064 O
0.1402 0.8166 0.5560 O
0.1616 0.6345 0.1315 O
0.1972 0.0956 0.7089 O
0.3815 0.1128 0.3822 O
0.4142 0.9346 0.1247 O
0.4746 0.7904 0.7170 O
0.5273 0.3164 0.0283 O
0.5397 0.4920 0.4019 O
0.7353 0.9890 0.2749 O
0.7398 0.1562 0.6660 O
0.8170 0.6696 0.9819 O
0.8271 0.5329 0.6026 O
0.9077 0.3689 0.3322 O
```

Largest 12 diffraction maxima, in order of rising 2θ, 10 to 80 degrees two-theta:
d [Å], intensity
6.588, 23.7
5.684, 50.9
4.541, 24.5
3.313, 54.1
3.239, 100.0
3.108, 60.4
2.980, 70.8
2.896, 66.7
2.505, 16.7
2.497, 21.7
2.341, 18.2
2.213, 18.2